The following is a computed powder X-ray diffraction pattern of NdErTe2. It was derived from DFT lattice parameters and positions (PBE), using a wavelength of 1.5418 Å.
Lines closer than 0.1° are merged.

Top 8 peaks for 2θ from 10° to 90°, in order of rising 2θ:
2θ (°)  intensity  index
23.3  1  1 1 0
33.2  100  2 0 0
47.6  18  2 2 0
59.3  38  3 1 1
69.6  12  4 0 0
79.2  5  1 1 3
79.4  11  4 2 0
88.7  4  4 0 2

Crystal structure
a b c (Å): 5.3976 5.3976 3.8236
angles (deg): 90.00 90.00 90.00
Space group P4/mmm (No. 123)
Inequivalent atoms, fractional coordinates:
Nd (0.0000, 0.0000, 0.0000)
Er (0.5000, 0.5000, 0.0000)
Te (0.0000, 0.5000, 0.5000)